Entry 1:
# Cu2GeSb
Computed powder XRD pattern, copper Kα. Input: a DFT-relaxed cell (GGA-PBE, OQMD).
Kinematic intensities with the Lorentz-polarization factor, no thermal factor.

Crystal structure
```
Cu2GeSb
1.0
6.535 0.000 0.000
0.000 6.535 0.000
0.000 0.000 6.535
Cu Ge Sb
8 4 4
direct
0.226 0.226 0.226 Cu
0.226 0.226 0.774 Cu
0.226 0.774 0.226 Cu
0.226 0.774 0.774 Cu
0.774 0.226 0.226 Cu
0.774 0.226 0.774 Cu
0.774 0.774 0.226 Cu
0.774 0.774 0.774 Cu
0.000 0.000 0.000 Ge
0.000 0.000 0.500 Ge
0.000 0.500 0.000 Ge
0.500 0.000 0.000 Ge
0.000 0.500 0.500 Sb
0.500 0.000 0.500 Sb
0.500 0.500 0.000 Sb
0.500 0.500 0.500 Sb
```

Peak list (10 most intense, 10° ≤ 2θ ≤ 90°, in order of rising 2θ)
d 3.268, 27.29°, rel. 5; d 2.923, 30.59°, rel. 7; d 2.311, 38.98°, rel. 100; d 2.178, 41.45°, rel. 3; d 1.634, 56.31°, rel. 15; d 1.585, 58.21°, rel. 3; d 1.461, 63.68°, rel. 4; d 1.334, 70.61°, rel. 28; d 1.214, 78.88°, rel. 3; d 1.155, 83.72°, rel. 8

---

Entry 2:
# HoSi4Ni3
Computed powder XRD pattern, copper Kα. Input: a DFT-relaxed cell (GGA-PBE, OQMD).
Kinematic intensities with the Lorentz-polarization factor, no thermal factor.

Crystal structure
```
HoSi4Ni3
1.0
3.912 0.000 0.000
0.000 3.939 0.000
-0.302 0.000 7.445
Ho Si Ni
1 4 3
direct
0.000 0.000 0.000 Ho
0.019 0.500 0.328 Si
0.469 0.500 0.849 Si
0.536 0.000 0.313 Si
0.569 0.000 0.655 Si
0.061 0.000 0.484 Ni
0.508 0.500 0.153 Ni
0.948 0.500 0.678 Ni
```

Peak list (10 most intense, 10° ≤ 2θ ≤ 90°, in order of rising 2θ)
d 7.445, 11.89°, rel. 39; d 3.909, 22.75°, rel. 40; d 2.706, 33.11°, rel. 100; d 2.643, 33.92°, rel. 40; d 2.625, 34.16°, rel. 57; d 2.576, 34.83°, rel. 56; d 2.256, 39.96°, rel. 59; d 2.195, 41.13°, rel. 42; d 1.969, 46.09°, rel. 51; d 1.954, 46.46°, rel. 40

---

Entry 3:
# Fe7Pt2
Computed powder XRD pattern, copper Kα. Input: a DFT-relaxed cell (GGA-PBE, OQMD).
Kinematic intensities with the Lorentz-polarization factor, no thermal factor.

Crystal structure
```
Fe7Pt2
1.0
4.700 0.000 0.000
-2.350 4.071 0.000
0.000 0.000 23.703
Fe Pt
28 8
direct
0.000 0.000 0.000 Fe
0.000 0.000 0.167 Fe
0.000 0.000 0.333 Fe
0.000 0.000 0.500 Fe
0.000 0.000 0.667 Fe
0.000 0.000 0.833 Fe
0.167 0.334 0.250 Fe
0.167 0.833 0.250 Fe
0.168 0.336 0.083 Fe
0.168 0.336 0.417 Fe
0.168 0.832 0.083 Fe
0.168 0.832 0.417 Fe
0.333 0.667 0.167 Fe
0.333 0.667 0.333 Fe
0.334 0.167 0.750 Fe
0.336 0.168 0.583 Fe
0.336 0.168 0.917 Fe
0.664 0.832 0.083 Fe
0.664 0.832 0.417 Fe
0.666 0.833 0.250 Fe
0.667 0.333 0.667 Fe
0.667 0.333 0.833 Fe
0.832 0.168 0.583 Fe
0.832 0.168 0.917 Fe
0.832 0.664 0.583 Fe
0.832 0.664 0.917 Fe
0.833 0.167 0.750 Fe
0.833 0.666 0.750 Fe
0.333 0.667 0.521 Pt
0.333 0.667 0.672 Pt
0.333 0.667 0.828 Pt
0.333 0.667 0.979 Pt
0.667 0.333 0.021 Pt
0.667 0.333 0.172 Pt
0.667 0.333 0.328 Pt
0.667 0.333 0.479 Pt
```

Peak list (10 most intense, 10° ≤ 2θ ≤ 90°, in order of rising 2θ)
d 2.835, 31.56°, rel. 18; d 2.603, 34.45°, rel. 60; d 2.350, 38.30°, rel. 50; d 2.028, 44.69°, rel. 25; d 2.020, 44.88°, rel. 100; d 1.975, 45.94°, rel. 17; d 1.401, 66.79°, rel. 18; d 1.358, 69.20°, rel. 25; d 1.283, 73.85°, rel. 22; d 1.175, 81.98°, rel. 24

---

Entry 4:
# TmLu2Cu4Si2Ge2
Computed powder XRD pattern, copper Kα. Input: a DFT-relaxed cell (GGA-PBE, OQMD).
Kinematic intensities with the Lorentz-polarization factor, no thermal factor.

Crystal structure
```
TmLu2Cu4Si2Ge2
1.0
-2.038 3.284 6.809
2.038 -3.284 6.809
2.038 3.284 -6.809
Tm Lu Cu Si Ge
1 2 4 2 2
direct
0.000 0.000 0.000 Tm
0.371 0.871 0.500 Lu
0.629 0.129 0.500 Lu
0.017 0.325 0.692 Cu
0.367 0.675 0.692 Cu
0.633 0.325 0.308 Cu
0.983 0.675 0.308 Cu
0.217 0.217 0.000 Si
0.783 0.783 0.000 Si
0.307 0.500 0.807 Ge
0.693 0.500 0.193 Ge
```

Peak list (10 most intense, 10° ≤ 2θ ≤ 90°, in order of rising 2θ)
d 3.734, 23.83°, rel. 17; d 3.087, 28.92°, rel. 21; d 2.514, 35.72°, rel. 100; d 2.428, 37.03°, rel. 74; d 2.268, 39.75°, rel. 23; d 2.038, 44.45°, rel. 27; d 1.972, 46.03°, rel. 30; d 1.548, 59.72°, rel. 14; d 1.417, 65.90°, rel. 24; d 1.174, 82.13°, rel. 11

---

Entry 5:
# HoGeHO4
Computed powder XRD pattern, copper Kα. Input: a DFT-relaxed cell (GGA-PBE, OQMD).
Kinematic intensities with the Lorentz-polarization factor, no thermal factor.

Crystal structure
```
HoGeHO4
1.0
7.784 0.000 0.000
0.000 6.743 0.000
-2.617 0.000 6.311
Ho Ge H O
4 4 4 16
direct
0.204 0.141 0.100 Ho
0.204 0.359 0.600 Ho
0.796 0.641 0.400 Ho
0.796 0.859 0.900 Ho
0.242 0.605 0.126 Ge
0.242 0.895 0.626 Ge
0.758 0.105 0.374 Ge
0.758 0.395 0.874 Ge
0.469 0.692 0.887 H
0.469 0.808 0.387 H
0.531 0.192 0.613 H
0.531 0.308 0.113 H
0.105 0.683 0.550 O
0.105 0.817 0.050 O
0.179 0.077 0.768 O
0.179 0.423 0.268 O
0.281 0.046 0.437 O
0.281 0.454 0.937 O
0.473 0.695 0.296 O
0.473 0.805 0.796 O
0.527 0.195 0.204 O
0.527 0.305 0.704 O
0.719 0.546 0.063 O
0.719 0.954 0.563 O
0.821 0.577 0.732 O
0.821 0.923 0.232 O
0.895 0.183 0.950 O
0.895 0.317 0.450 O
```

Peak list (10 most intense, 10° ≤ 2θ ≤ 90°, in order of rising 2θ)
d 4.919, 18.04°, rel. 44; d 3.595, 24.76°, rel. 91; d 3.410, 26.13°, rel. 100; d 2.974, 30.05°, rel. 47; d 2.942, 30.38°, rel. 53; d 2.588, 34.66°, rel. 48; d 2.552, 35.16°, rel. 26; d 2.526, 35.54°, rel. 53; d 2.400, 37.48°, rel. 41; d 1.678, 54.69°, rel. 27

---

Entry 6:
# TlRe3Se4Cl2
Computed powder XRD pattern, copper Kα. Input: a DFT-relaxed cell (GGA-PBE, OQMD).
Kinematic intensities with the Lorentz-polarization factor, no thermal factor.

Crystal structure
```
TlRe3Se4Cl2
1.0
6.651 0.000 0.000
3.169 8.361 0.000
1.194 0.375 8.950
Tl Re Se Cl
2 6 8 4
direct
0.192 0.137 0.470 Tl
0.808 0.863 0.530 Tl
0.274 0.423 0.023 Re
0.324 0.682 0.103 Re
0.409 0.602 0.818 Re
0.591 0.398 0.182 Re
0.676 0.318 0.897 Re
0.726 0.577 0.977 Re
0.024 0.713 0.943 Se
0.199 0.499 0.296 Se
0.362 0.346 0.753 Se
0.463 0.849 0.900 Se
0.537 0.151 0.100 Se
0.638 0.654 0.247 Se
0.801 0.501 0.704 Se
0.976 0.287 0.057 Se
0.092 0.918 0.239 Cl
0.294 0.739 0.581 Cl
0.706 0.261 0.419 Cl
0.908 0.082 0.761 Cl
```

Peak list (10 most intense, 10° ≤ 2θ ≤ 90°, in order of rising 2θ)
d 8.354, 10.59°, rel. 100; d 6.239, 14.20°, rel. 81; d 5.983, 14.81°, rel. 48; d 5.375, 16.49°, rel. 45; d 2.579, 34.78°, rel. 37; d 2.120, 42.65°, rel. 30; d 2.078, 43.54°, rel. 43; d 2.032, 44.60°, rel. 33; d 2.027, 44.70°, rel. 29; d 2.013, 45.02°, rel. 36